# 1
Structure and simulated X-ray diffraction stick pattern of NaSb2Se (DFT lattice parameters and positions (GGA-PBE); Cu Kα X-rays).
Neutral-atom scattering factors, no anomalous dispersion.

Peak list (10 most intense, 2θ = 10–90°, in order of falling intensity)
2theta, d/Å, I/Imax
28.19, 3.165, 100
33.91, 2.643, 83
44.66, 2.029, 58
19.84, 4.476, 35
39.46, 2.284, 34
18.18, 4.879, 31
40.30, 2.238, 31
44.54, 2.034, 20
27.03, 3.298, 19
69.13, 1.359, 18

Crystal structure
Lattice parameters (Å, degrees): 6.967 6.967 6.967 100.04 100.04 130.63
Sites, in units of the cell vectors:
1 Na 0.000 0.000 0.000
2 Na 0.750 0.250 0.500
3 Sb 0.169 0.125 0.544
4 Sb 0.375 0.831 0.956
5 Sb 0.581 0.625 0.456
6 Sb 0.875 0.419 0.044
7 Se 0.250 0.750 0.500
8 Se 0.500 0.500 0.000

---

# 2
Structure and simulated X-ray diffraction stick pattern of Na7SbSe6 (DFT lattice parameters and positions (GGA-PBE); Cu Kα X-rays).
Neutral-atom scattering factors, no anomalous dispersion.

Peak list (10 most intense, 2θ = 10–90°, in order of falling intensity)
2theta, d/Å, I/Imax
23.78, 3.741, 100
17.35, 5.111, 77
16.34, 5.424, 53
43.34, 2.088, 31
31.19, 2.868, 29
27.74, 3.216, 28
36.27, 2.477, 26
41.65, 2.168, 25
38.94, 2.313, 17
12.09, 7.322, 16

Crystal structure
Lattice parameters (Å, degrees): 11.510 11.510 11.510 142.51 100.99 90.92
Sites, in units of the cell vectors:
1 Na 0.029 0.206 0.235
2 Na 0.114 0.503 0.827
3 Na 0.176 0.003 0.389
4 Na 0.250 0.250 0.000
5 Na 0.324 0.713 0.827
6 Na 0.386 0.213 0.389
7 Na 0.471 0.706 0.176
8 Na 0.529 0.294 0.824
9 Na 0.614 0.787 0.611
10 Na 0.676 0.287 0.173
11 Na 0.750 0.750 0.000
12 Na 0.824 0.997 0.611
13 Na 0.886 0.497 0.173
14 Na 0.971 0.794 0.765
15 Sb 0.250 0.750 0.500
16 Sb 0.750 0.250 0.500
17 Se 0.063 0.868 0.603
18 Se 0.158 0.901 0.059
19 Se 0.235 0.632 0.195
20 Se 0.265 0.460 0.397
21 Se 0.342 0.401 0.742
22 Se 0.437 0.040 0.805
23 Se 0.563 0.960 0.195
24 Se 0.658 0.599 0.258
25 Se 0.735 0.540 0.603
26 Se 0.765 0.368 0.805
27 Se 0.842 0.099 0.941
28 Se 0.937 0.132 0.397

---

# 3
Structure and simulated X-ray diffraction stick pattern of Na4SbSe5 (DFT lattice parameters and positions (GGA-PBE); Cu Kα X-rays).
Neutral-atom scattering factors, no anomalous dispersion.

Peak list (10 most intense, 2θ = 10–90°, in order of falling intensity)
2theta, d/Å, I/Imax
29.91, 2.987, 100
41.99, 2.152, 87
28.75, 3.105, 57
13.26, 6.679, 54
17.09, 5.189, 50
42.81, 2.112, 38
25.50, 3.493, 35
52.39, 1.746, 33
49.01, 1.859, 19
31.81, 2.813, 14

Crystal structure
Lattice parameters (Å, degrees): 7.366 7.366 7.366 100.23 100.23 130.14
Sites, in units of the cell vectors:
1 Na 0.103 0.709 0.812
2 Na 0.291 0.103 0.394
3 Na 0.709 0.897 0.606
4 Na 0.897 0.291 0.188
5 Sb 0.426 0.426 0.000
6 Se 0.019 0.019 0.000
7 Se 0.244 0.430 0.660
8 Se 0.430 0.770 0.187
9 Se 0.584 0.244 0.813
10 Se 0.770 0.584 0.340